Structure and computed powder XRD pattern of NbTl6O12 (a DFT-relaxed cell (PBE, Alexandria); Cu Kα (weighted mean of Kα1 and Kα2)).
Kinematic intensities with the Lorentz-polarization factor, no thermal factor.

The 8 most intense peaks (10 to 90 degrees two-theta), low angle first:
2θ (°)	intensity
28.27	33
28.85	100
33.27	51
47.38	26
48.14	25
56.10	14
56.77	24
57.10	12

Structure:
Unit cell a=6.5813 b=6.5813 c=6.5813 alpha=98.91 beta=98.91 gamma=98.91
Sites, in units of the cell vectors:
1 Nb 0.0000 0.0000 0.0000
2 Tl 0.1354 0.3104 0.6054
3 Tl 0.3104 0.6054 0.1354
4 Tl 0.3946 0.8646 0.6896
5 Tl 0.6054 0.1354 0.3104
6 Tl 0.6896 0.3946 0.8646
7 Tl 0.8646 0.6896 0.3946
8 O 0.0406 0.9059 0.7042
9 O 0.0941 0.2958 0.9594
10 O 0.1755 0.5982 0.4169
11 O 0.2958 0.9594 0.0941
12 O 0.4018 0.5831 0.8245
13 O 0.4169 0.1755 0.5982
14 O 0.5831 0.8245 0.4018
15 O 0.5982 0.4169 0.1755
16 O 0.7042 0.0406 0.9059
17 O 0.8245 0.4018 0.5831
18 O 0.9059 0.7042 0.0406
19 O 0.9594 0.0941 0.2958

Structure and computed powder XRD pattern of GdSc (a DFT-relaxed cell (PBE, Alexandria); Cu Kα (weighted mean of Kα1 and Kα2)).
Kinematic intensities with the Lorentz-polarization factor, no thermal factor.

The 8 most intense peaks (10 to 90 degrees two-theta), low angle first:
2θ (°)	intensity
23.19	36
33.03	100
40.75	12
47.41	18
53.42	16
59.00	37
69.30	11
78.94	16

Structure:
Unit cell a=3.8349 b=3.8349 c=3.8349 alpha=90.00 beta=90.00 gamma=90.00
Sites, in units of the cell vectors:
1 Gd 0.0000 0.0000 0.0000
2 Sc 0.5000 0.5000 0.5000

Structure and computed powder XRD pattern of NaSrMg14 (a DFT-relaxed cell (PBE, Alexandria); Cu Kα (weighted mean of Kα1 and Kα2)).
Kinematic intensities with the Lorentz-polarization factor, no thermal factor.

The 8 most intense peaks (10 to 90 degrees two-theta), low angle first:
2θ (°)	intensity
31.13	25
33.65	26
35.50	100
46.50	16
55.39	17
61.39	19
66.40	19
67.54	14

Structure:
Unit cell a=6.6344 b=6.6344 c=10.6529 alpha=90.00 beta=90.00 gamma=120.00
Sites, in units of the cell vectors:
1 Na 0.0000 0.0000 0.0000
2 Sr 0.0000 0.0000 0.5000
3 Mg 0.0118 0.5059 0.5000
4 Mg 0.1719 0.3438 0.2430
5 Mg 0.1719 0.3438 0.7570
6 Mg 0.1719 0.8281 0.2430
7 Mg 0.1719 0.8281 0.7570
8 Mg 0.4941 0.5059 0.5000
9 Mg 0.4941 0.9882 0.5000
10 Mg 0.5007 0.0013 0.0000
11 Mg 0.5007 0.4993 0.0000
12 Mg 0.6562 0.8281 0.2430
13 Mg 0.6562 0.8281 0.7570
14 Mg 0.6667 0.3333 0.2560
15 Mg 0.6667 0.3333 0.7440
16 Mg 0.9987 0.4993 0.0000

Structure and computed powder XRD pattern of Pr5TaN6 (a DFT-relaxed cell (PBE, Alexandria); Cu Kα (weighted mean of Kα1 and Kα2)).
Kinematic intensities with the Lorentz-polarization factor, no thermal factor.

The 8 most intense peaks (10 to 90 degrees two-theta), low angle first:
2θ (°)	intensity
30.63	100
30.79	33
35.56	95
51.06	33
51.28	32
60.74	26
60.86	20
61.02	15

Structure:
Unit cell a=6.1941 b=6.1941 c=6.1598 alpha=99.61 beta=99.61 gamma=119.94
Sites, in units of the cell vectors:
1 Pr 0.0000 0.0000 0.0000
2 Pr 0.1671 0.8329 0.5000
3 Pr 0.3358 0.6642 0.0000
4 Pr 0.6642 0.3358 0.0000
5 Pr 0.8329 0.1671 0.5000
6 Ta 0.5000 0.5000 0.5000
7 N 0.1341 0.4260 0.2794
8 N 0.2806 0.2806 0.7303
9 N 0.4260 0.1341 0.2794
10 N 0.5740 0.8659 0.7206
11 N 0.7194 0.7194 0.2697
12 N 0.8659 0.5740 0.7206

Structure and computed powder XRD pattern of Mg2Ni2Sb (a DFT-relaxed cell (PBE, Alexandria); Cu Kα (weighted mean of Kα1 and Kα2)).
Kinematic intensities with the Lorentz-polarization factor, no thermal factor.

The 8 most intense peaks (10 to 90 degrees two-theta), low angle first:
2θ (°)	intensity
22.52	58
28.28	26
41.39	26
41.49	100
41.93	25
60.38	16
75.54	16
76.30	15

Structure:
Unit cell a=4.3088 b=4.3633 c=9.2713 alpha=90.00 beta=90.00 gamma=90.00
Sites, in units of the cell vectors:
1 Mg 0.2500 0.2500 0.0028
2 Mg 0.2500 0.2500 0.6754
3 Mg 0.7500 0.7500 0.3246
4 Mg 0.7500 0.7500 0.9972
5 Ni 0.2500 0.7500 0.5034
6 Ni 0.2500 0.7500 0.8178
7 Ni 0.7500 0.2500 0.1822
8 Ni 0.7500 0.2500 0.4966
9 Sb 0.2500 0.2500 0.3328
10 Sb 0.7500 0.7500 0.6672

Structure and computed powder XRD pattern of Rb12CaCl4O4 (a DFT-relaxed cell (PBE, Alexandria); Cu Kα (weighted mean of Kα1 and Kα2)).
Kinematic intensities with the Lorentz-polarization factor, no thermal factor.

The 8 most intense peaks (10 to 90 degrees two-theta), low angle first:
2θ (°)	intensity
25.98	45
26.94	100
27.18	51
29.71	49
30.06	68
31.73	88
32.76	54
34.55	44

Structure:
Unit cell a=7.8808 b=7.9040 c=13.4396 alpha=86.26 beta=75.26 gamma=88.77
Sites, in units of the cell vectors:
1 Rb 0.0000 0.0000 0.0000
2 Rb 0.0079 0.2409 0.4291
3 Rb 0.0994 0.5631 0.6202
4 Rb 0.1446 0.0413 0.6795
5 Rb 0.3008 0.6604 0.8553
6 Rb 0.4850 0.4188 0.1407
7 Rb 0.4941 0.8387 0.4326
8 Rb 0.5354 0.9479 0.0459
9 Rb 0.5978 0.4592 0.5999
10 Rb 0.6538 0.9789 0.6834
11 Rb 0.7418 0.3542 0.8421
12 Rb 0.9826 0.4190 0.0786
13 Ca 0.1023 0.7668 0.2180
14 Cl 0.1715 0.1086 0.1956
15 Cl 0.3313 0.2402 0.8327
16 Cl 0.7600 0.7319 0.2052
17 Cl 0.8664 0.7572 0.8397
18 O 0.2439 0.6870 0.0806
19 O 0.4033 0.7588 0.6403
20 O 0.7450 0.2272 0.0254
21 O 0.8888 0.2669 0.6312

Structure and computed powder XRD pattern of NdDyTmCd (a DFT-relaxed cell (PBE, Alexandria); Cu Kα (weighted mean of Kα1 and Kα2)).
Kinematic intensities with the Lorentz-polarization factor, no thermal factor.

The 8 most intense peaks (10 to 90 degrees two-theta), low angle first:
2θ (°)	intensity
31.73	100
35.12	41
40.00	10
50.51	15
54.27	17
60.89	31
66.30	9
84.85	7

Structure:
Unit cell a=3.6138 b=3.6138 c=9.0158 alpha=90.00 beta=90.00 gamma=90.00
Sites, in units of the cell vectors:
1 Nd 0.0000 0.0000 0.0000
2 Dy 0.5000 0.5000 0.7187
3 Tm 0.5000 0.5000 0.2776
4 Cd 0.0000 0.0000 0.4937

Structure and computed powder XRD pattern of KCaTe (a DFT-relaxed cell (PBE, Alexandria); Cu Kα (weighted mean of Kα1 and Kα2)).
Kinematic intensities with the Lorentz-polarization factor, no thermal factor.

The 8 most intense peaks (10 to 90 degrees two-theta), low angle first:
2θ (°)	intensity
19.79	84
32.59	100
38.41	45
46.75	17
51.24	20
58.15	35
62.05	15
77.71	14

Structure:
Unit cell a=5.4956 b=5.4956 c=5.4956 alpha=60.00 beta=60.00 gamma=60.00
Sites, in units of the cell vectors:
1 K 0.0000 0.0000 0.0000
2 Ca 0.5000 0.5000 0.5000
3 Te 0.2500 0.2500 0.2500

Structure and computed powder XRD pattern of CdBi3Pb3 (a DFT-relaxed cell (PBE, Alexandria); Cu Kα (weighted mean of Kα1 and Kα2)).
Kinematic intensities with the Lorentz-polarization factor, no thermal factor.

The 8 most intense peaks (10 to 90 degrees two-theta), low angle first:
2θ (°)	intensity
26.17	91
28.80	28
29.00	100
32.37	31
32.62	43
33.71	40
35.58	57
36.09	56

Structure:
Unit cell a=7.5721 b=7.5721 c=8.5622 alpha=90.24 beta=90.24 gamma=107.77
Sites, in units of the cell vectors:
1 Cd 0.1106 0.1106 0.3786
2 Cd 0.8894 0.8894 0.6214
3 Bi 0.0111 0.4776 0.2548
4 Bi 0.2427 0.2427 0.7456
5 Bi 0.4776 0.0111 0.2548
6 Bi 0.5224 0.9889 0.7452
7 Bi 0.7573 0.7573 0.2544
8 Bi 0.9889 0.5224 0.7452
9 Pb 0.1458 0.8542 0.0000
10 Pb 0.3568 0.6432 0.5000
11 Pb 0.3712 0.3712 0.1276
12 Pb 0.6288 0.6288 0.8724
13 Pb 0.6432 0.3568 0.5000
14 Pb 0.8542 0.1458 0.0000

Structure and computed powder XRD pattern of Rb2UPd3S6 (a DFT-relaxed cell (PBE, Alexandria); Cu Kα (weighted mean of Kα1 and Kα2)).
Kinematic intensities with the Lorentz-polarization factor, no thermal factor.

The 8 most intense peaks (10 to 90 degrees two-theta), low angle first:
2θ (°)	intensity
11.84	100
23.81	23
24.16	58
32.26	49
33.27	23
33.97	25
36.58	37
44.11	42

Structure:
Unit cell a=11.2914 b=9.7748 c=8.9340 alpha=74.09 beta=56.36 gamma=49.55
Sites, in units of the cell vectors:
1 Rb 0.1968 0.8032 0.1968
2 Rb 0.2500 0.2500 0.2500
3 Rb 0.7500 0.7500 0.7500
4 Rb 0.8032 0.1968 0.8032
5 U 0.3326 0.3326 0.6674
6 U 0.6674 0.6674 0.3326
7 Pd 0.0031 0.6772 0.9969
8 Pd 0.3228 0.9969 0.6772
9 Pd 0.3260 0.6740 0.6740
10 Pd 0.6740 0.3260 0.3260
11 Pd 0.6772 0.0031 0.3228
12 Pd 0.9969 0.3228 0.0031
13 S 0.0968 0.3120 0.6880
14 S 0.1020 0.6932 0.6809
15 S 0.3068 0.8980 0.4761
16 S 0.3120 0.0968 0.9032
17 S 0.3191 0.4761 0.8980
18 S 0.4761 0.3191 0.3068
19 S 0.5239 0.6809 0.6932
20 S 0.6809 0.5239 0.1020
21 S 0.6880 0.9032 0.0968
22 S 0.6932 0.1020 0.5239
23 S 0.8980 0.3068 0.3191
24 S 0.9032 0.6880 0.3120

Structure and computed powder XRD pattern of ThAs8O18 (a DFT-relaxed cell (PBE, Alexandria); Cu Kα (weighted mean of Kα1 and Kα2)).
Kinematic intensities with the Lorentz-polarization factor, no thermal factor.

The 8 most intense peaks (10 to 90 degrees two-theta), low angle first:
2θ (°)	intensity
10.06	52
22.22	72
23.65	100
25.56	80
28.30	92
30.46	38
31.49	47
46.15	32

Structure:
Unit cell a=9.6622 b=9.6622 c=17.8259 alpha=99.02 beta=99.02 gamma=31.85
Sites, in units of the cell vectors:
1 Th 0.2181 0.7819 0.7500
2 Th 0.7819 0.2181 0.2500
3 As 0.1348 0.5650 0.2238
4 As 0.1707 0.4511 0.8610
5 As 0.2006 0.5542 0.5170
6 As 0.2743 0.7223 0.4057
7 As 0.2777 0.7257 0.0943
8 As 0.4350 0.8652 0.2762
9 As 0.4458 0.7994 0.9830
10 As 0.4511 0.1707 0.3610
11 As 0.5489 0.8293 0.6390
12 As 0.5542 0.2006 0.0170
13 As 0.5650 0.1348 0.7238
14 As 0.7223 0.2743 0.9057
15 As 0.7257 0.2777 0.5943
16 As 0.7994 0.4458 0.4830
17 As 0.8293 0.5489 0.1390
18 As 0.8652 0.4350 0.7762
19 O 0.0052 0.0586 0.8635
20 O 0.0104 0.4139 0.8578
21 O 0.0586 0.0052 0.3635
22 O 0.0760 0.1349 0.7354
23 O 0.0853 0.7832 0.4581
24 O 0.1349 0.0760 0.2354
25 O 0.1865 0.3964 0.2854
26 O 0.2168 0.9147 0.0419
27 O 0.2409 0.3743 0.4420
28 O 0.3092 0.5512 0.0234
29 O 0.3743 0.2409 0.9420
30 O 0.3868 0.4165 0.6934
31 O 0.3964 0.1865 0.7854
32 O 0.4139 0.0104 0.3578
33 O 0.4165 0.3868 0.1934
34 O 0.4429 0.4740 0.8505
35 O 0.4488 0.6908 0.4766
36 O 0.4740 0.4429 0.3505
37 O 0.5260 0.5571 0.6495
38 O 0.5512 0.3092 0.5234
39 O 0.5571 0.5260 0.1495
40 O 0.5835 0.6132 0.8066
41 O 0.5861 0.9896 0.6422
42 O 0.6036 0.8135 0.2146
43 O 0.6132 0.5835 0.3066
44 O 0.6257 0.7591 0.0580
45 O 0.6908 0.4488 0.9766
46 O 0.7591 0.6257 0.5580
47 O 0.7832 0.0853 0.9581
48 O 0.8135 0.6036 0.7146
49 O 0.8651 0.9240 0.7646
50 O 0.9147 0.2168 0.5419
51 O 0.9240 0.8651 0.2646
52 O 0.9414 0.9948 0.6365
53 O 0.9896 0.5861 0.1422
54 O 0.9948 0.9414 0.1365

Structure and computed powder XRD pattern of Li2PuPdO4 (a DFT-relaxed cell (PBE, Alexandria); Cu Kα (weighted mean of Kα1 and Kα2)).
Kinematic intensities with the Lorentz-polarization factor, no thermal factor.

The 8 most intense peaks (10 to 90 degrees two-theta), low angle first:
2θ (°)	intensity
22.11	93
26.06	100
28.36	34
30.57	29
32.58	34
34.43	69
42.90	38
52.83	29

Structure:
Unit cell a=4.2156 b=8.0404 c=5.8489 alpha=90.00 beta=90.00 gamma=90.00
Sites, in units of the cell vectors:
1 Li 0.2500 0.0070 0.1514
2 Li 0.2500 0.4930 0.1514
3 Li 0.7500 0.5070 0.8486
4 Li 0.7500 0.9930 0.8486
5 Pu 0.2500 0.2500 0.6625
6 Pu 0.7500 0.7500 0.3375
7 Pd 0.2500 0.7500 0.7704
8 Pd 0.7500 0.2500 0.2296
9 O 0.2500 0.0052 0.7938
10 O 0.2500 0.2500 0.2779
11 O 0.2500 0.4948 0.7938
12 O 0.2500 0.7500 0.2607
13 O 0.7500 0.2500 0.7393
14 O 0.7500 0.5052 0.2062
15 O 0.7500 0.7500 0.7221
16 O 0.7500 0.9948 0.2062